# 1
Pm4Se4S: calculated XRD peak list (copper Kα), based on a DFT-relaxed cell (GGA-PBE, Alexandria).
Peak positions follow from Bragg's law for the DFT cell and can differ from measured ones.

Peak list (10 most intense, 10° ≤ 2θ ≤ 80°, in order of falling intensity)
Position (°2θ)  I/Imax
23.1  100
38.9  43
43.7  29
36.6  28
47.7  16
36.1  11
67.4  11
61.6  9
29.6  9
52.7  8

Atomic structure:
```
Pm4Se4S
1.0
-3.4753 3.4753 6.2033
3.4753 -3.4753 6.2033
3.4753 3.4753 -6.2033
Pm Se S
4 4 1
direct
0.0875 0.6505 0.0000
0.3495 0.3495 0.4370
0.6505 0.0875 0.0000
0.9125 0.9125 0.5630
0.0000 0.5000 0.5000
0.2902 0.2902 0.0000
0.5000 0.0000 0.5000
0.7098 0.7098 0.0000
0.0000 0.0000 0.0000
```



# 2
PmSe2S6: calculated XRD peak list (copper Kα), based on a DFT-relaxed cell (GGA-PBE, Alexandria).
Peak positions follow from Bragg's law for the DFT cell and can differ from measured ones.

Peak list (10 most intense, 10° ≤ 2θ ≤ 80°, in order of falling intensity)
Position (°2θ)  I/Imax
35.2  100
25.7  99
19.3  97
14.7  84
40.8  41
29.2  41
28.0  33
51.7  28
54.3  27
36.2  26

Atomic structure:
```
PmSe2S6
1.0
3.1911 -9.1927 0.0000
3.1911 9.1927 0.0000
0.0000 0.0000 4.2410
Pm Se S
1 2 6
direct
0.0000 0.0000 0.0000
0.0000 0.5000 0.7281
0.5000 0.0000 0.2719
0.1907 0.8093 0.0000
0.2062 0.3173 0.5012
0.3173 0.2062 0.4988
0.6827 0.7938 0.4988
0.7938 0.6827 0.5012
0.8093 0.1907 0.0000
```



# 3
Pm2SeS2: calculated XRD peak list (copper Kα), based on a DFT-relaxed cell (GGA-PBE, Alexandria).
Peak positions follow from Bragg's law for the DFT cell and can differ from measured ones.

Peak list (10 most intense, 10° ≤ 2θ ≤ 80°, in order of falling intensity)
Position (°2θ)  I/Imax
29.4  100
17.4  94
44.4  63
38.3  48
32.5  41
30.0  22
70.8  20
43.2  18
25.8  18
13.3  18

Atomic structure:
```
Pm2SeS2
1.0
4.1844 0.0000 0.0000
0.0000 5.5064 0.0000
0.0000 0.0000 13.2858
Pm Se S
4 2 4
direct
0.0000 0.0000 0.1587
0.0000 0.0000 0.8413
0.5000 0.5000 0.3413
0.5000 0.5000 0.6587
0.0000 0.5000 0.5000
0.5000 0.0000 0.0000
0.0000 0.5000 0.2010
0.0000 0.5000 0.7990
0.5000 0.0000 0.2990
0.5000 0.0000 0.7010
```



# 4
Tb2Pm2Se3S2: calculated XRD peak list (copper Kα), based on a DFT-relaxed cell (GGA-PBE, Alexandria).
Peak positions follow from Bragg's law for the DFT cell and can differ from measured ones.

Peak list (10 most intense, 10° ≤ 2θ ≤ 80°, in order of falling intensity)
Position (°2θ)  I/Imax
31.7  100
40.7  55
24.8  51
25.5  40
45.5  36
35.0  32
52.5  27
48.0  26
75.4  16
33.6  15

Atomic structure:
```
Tb2Pm2Se3S2
1.0
-2.8204 2.8204 7.1834
2.8204 -2.8204 7.1834
2.8204 2.8204 -7.1834
Tb Pm Se S
2 2 3 2
direct
0.0000 0.5000 0.5000
0.5000 0.0000 0.5000
0.2124 0.2124 0.0000
0.7876 0.7876 0.0000
0.0000 0.0000 0.0000
0.2500 0.7500 0.5000
0.7500 0.2500 0.5000
0.4026 0.4026 0.0000
0.5974 0.5974 0.0000
```



# 5
Pm8Te4Se3S: calculated XRD peak list (copper Kα), based on a DFT-relaxed cell (GGA-PBE, Alexandria).
Peak positions follow from Bragg's law for the DFT cell and can differ from measured ones.

Peak list (10 most intense, 10° ≤ 2θ ≤ 80°, in order of falling intensity)
Position (°2θ)  I/Imax
29.2  100
42.1  39
41.6  32
52.1  19
69.1  16
68.4  11
60.7  10
76.6  10
31.9  10
57.9  8

Atomic structure:
```
Pm8Te4Se3S
1.0
4.2952 2.4798 7.1274
-4.2952 2.4798 7.1274
0.0000 -4.9597 7.1274
Pm Te Se S
8 4 3 1
direct
0.2391 0.2391 0.2391
0.2508 0.7308 0.7308
0.2692 0.2692 0.7492
0.2692 0.7492 0.2692
0.7308 0.2508 0.7308
0.7308 0.7308 0.2508
0.7492 0.2692 0.2692
0.7609 0.7609 0.7609
0.0000 0.0000 0.0000
0.0000 0.5000 0.5000
0.5000 0.0000 0.5000
0.5000 0.5000 0.0000
0.0000 0.0000 0.5000
0.0000 0.5000 0.0000
0.5000 0.0000 0.0000
0.5000 0.5000 0.5000
```



# 6
Pm4ZnSeS2: calculated XRD peak list (copper Kα), based on a DFT-relaxed cell (GGA-PBE, Alexandria).
Peak positions follow from Bragg's law for the DFT cell and can differ from measured ones.

Peak list (10 most intense, 10° ≤ 2θ ≤ 80°, in order of falling intensity)
Position (°2θ)  I/Imax
30.6  100
43.9  49
72.4  21
26.2  20
26.7  20
53.9  13
55.0  13
43.2  12
44.5  12
63.8  12

Atomic structure:
```
Pm4ZnSeS2
1.0
7.1863 0.0000 0.0000
0.0000 4.0682 0.0000
-2.3121 0.0000 6.8046
Pm Zn Se S
4 1 1 2
direct
0.2374 0.0000 0.2443
0.2384 0.5000 0.7446
0.7616 0.5000 0.2554
0.7626 0.0000 0.7557
0.5000 0.0000 0.0000
0.5000 0.5000 0.5000
0.0000 0.0000 0.5000
0.0000 0.5000 0.0000
```



# 7
Pm2SiS: calculated XRD peak list (copper Kα), based on a DFT-relaxed cell (GGA-PBE, Alexandria).
Peak positions follow from Bragg's law for the DFT cell and can differ from measured ones.

Peak list (10 most intense, 10° ≤ 2θ ≤ 80°, in order of falling intensity)
Position (°2θ)  I/Imax
30.4  100
26.4  60
43.4  37
43.8  36
26.1  21
51.7  20
54.3  19
71.6  17
72.2  16
63.4  12

Atomic structure:
```
Pm2SiS
1.0
4.1340 0.0000 0.0000
-2.0670 3.5801 0.0000
0.0000 0.0000 20.5201
Pm Si S
6 3 3
direct
0.0000 0.0000 0.2502
0.0000 0.0000 0.7498
0.3333 0.6667 0.4165
0.3333 0.6667 0.9168
0.6667 0.3333 0.0832
0.6667 0.3333 0.5835
0.0000 0.0000 0.5000
0.3333 0.6667 0.1667
0.6667 0.3333 0.8333
0.0000 0.0000 0.0000
0.3333 0.6667 0.6667
0.6667 0.3333 0.3333
```



# 8
Pm7SiS5: calculated XRD peak list (copper Kα), based on a DFT-relaxed cell (GGA-PBE, Alexandria).
Peak positions follow from Bragg's law for the DFT cell and can differ from measured ones.

Peak list (10 most intense, 10° ≤ 2θ ≤ 80°, in order of falling intensity)
Position (°2θ)  I/Imax
29.5  100
30.9  88
32.0  59
27.4  58
54.4  36
27.2  34
44.7  33
25.6  33
32.9  30
45.1  30

Atomic structure:
```
Pm7SiS5
1.0
6.6088 -2.0282 0.0000
6.6088 2.0282 0.0000
-0.0278 0.0000 23.8704
Pm Si S
14 2 10
direct
0.0000 0.0000 0.0000
0.9999 0.9999 0.4260
0.1021 0.1021 0.7129
0.1722 0.1722 0.2131
0.2740 0.2740 0.9261
0.2747 0.2747 0.5000
0.4503 0.4503 0.1413
0.4498 0.4498 0.2847
0.5446 0.5446 0.8503
0.5459 0.5459 0.5754
0.7293 0.7293 0.0757
0.7288 0.7288 0.3506
0.8237 0.8237 0.7848
0.8248 0.8248 0.6414
0.4424 0.4424 0.7137
0.8319 0.8319 0.2126
0.0893 0.0893 0.1058
0.0888 0.0888 0.3202
0.1847 0.1847 0.8203
0.1858 0.1858 0.6059
0.3632 0.3632 0.0345
0.3631 0.3631 0.3915
0.6374 0.6374 0.4630
0.6370 0.6370 0.9630
0.9108 0.9108 0.8916
0.9115 0.9115 0.5346
```



# 9
Pm3SiS6: calculated XRD peak list (copper Kα), based on a DFT-relaxed cell (GGA-PBE, Alexandria).
Peak positions follow from Bragg's law for the DFT cell and can differ from measured ones.

Peak list (10 most intense, 10° ≤ 2θ ≤ 80°, in order of falling intensity)
Position (°2θ)  I/Imax
25.0  100
25.3  90
37.4  54
41.7  42
38.1  39
34.5  35
17.0  33
48.4  22
18.8  18
34.1  17

Atomic structure:
```
Pm3SiS6
1.0
5.4542 -6.7418 0.0000
5.4542 6.7418 0.0000
0.0000 0.0000 6.6065
Pm Si S
6 2 12
direct
0.0952 0.9048 0.5000
0.2240 0.4150 0.5906
0.4150 0.2240 0.0906
0.5850 0.7760 0.5906
0.7760 0.5850 0.0906
0.9048 0.0952 0.0000
0.2997 0.7003 0.1412
0.7003 0.2997 0.6412
0.0797 0.6033 0.2927
0.1299 0.1931 0.2964
0.1931 0.1299 0.7964
0.2891 0.7109 0.8162
0.3967 0.9203 0.2927
0.4533 0.5467 0.2537
0.5467 0.4533 0.7537
0.6033 0.0797 0.7927
0.7109 0.2891 0.3162
0.8069 0.8701 0.2964
0.8701 0.8069 0.7964
0.9203 0.3967 0.7927
```



# 10
Pm8SiTe4S3: calculated XRD peak list (copper Kα), based on a DFT-relaxed cell (GGA-PBE, Alexandria).
Peak positions follow from Bragg's law for the DFT cell and can differ from measured ones.

Peak list (10 most intense, 10° ≤ 2θ ≤ 80°, in order of falling intensity)
Position (°2θ)  I/Imax
29.5  100
42.9  38
41.5  32
53.0  19
32.1  18
70.5  16
25.8  13
58.2  13
24.7  11
77.7  10

Atomic structure:
```
Pm8SiTe4S3
1.0
4.2125 2.4321 7.2262
-4.2125 2.4321 7.2262
0.0000 -4.8641 7.2262
Pm Si Te S
8 1 4 3
direct
0.2360 0.2360 0.2360
0.2381 0.7372 0.7372
0.2628 0.2628 0.7619
0.2628 0.7619 0.2628
0.7372 0.2381 0.7372
0.7372 0.7372 0.2381
0.7619 0.2628 0.2628
0.7640 0.7640 0.7640
0.5000 0.5000 0.5000
0.0000 0.0000 0.0000
0.0000 0.5000 0.5000
0.5000 0.0000 0.5000
0.5000 0.5000 0.0000
0.0000 0.0000 0.5000
0.0000 0.5000 0.0000
0.5000 0.0000 0.0000
```



# 11
Pm2Sm4S9: calculated XRD peak list (copper Kα), based on a DFT-relaxed cell (GGA-PBE, Alexandria).
Peak positions follow from Bragg's law for the DFT cell and can differ from measured ones.

Peak list (10 most intense, 10° ≤ 2θ ≤ 80°, in order of falling intensity)
Position (°2θ)  I/Imax
23.8  100
25.1  96
38.3  74
43.4  50
34.8  50
44.1  49
17.2  37
57.4  28
50.7  24
63.6  23

Atomic structure:
```
Pm2Sm4S9
1.0
7.1093 0.0000 0.0000
-3.5547 6.1568 0.0000
0.0000 0.0000 18.8266
Pm Sm S
4 8 18
direct
0.0000 0.0000 0.1470
0.0000 0.0000 0.3530
0.0000 0.0000 0.6470
0.0000 0.0000 0.8530
0.3333 0.6667 0.0187
0.3333 0.6667 0.3139
0.3333 0.6667 0.5187
0.3333 0.6667 0.8139
0.6667 0.3333 0.1861
0.6667 0.3333 0.4813
0.6667 0.3333 0.6861
0.6667 0.3333 0.9813
0.0000 0.2986 0.2500
0.0000 0.7014 0.7500
0.0349 0.3710 0.9165
0.0349 0.6639 0.4165
0.2986 0.0000 0.2500
0.2986 0.2986 0.7500
0.3361 0.3710 0.4165
0.3361 0.9651 0.9165
0.3710 0.0349 0.5835
0.3710 0.3361 0.0835
0.6290 0.6639 0.9165
0.6290 0.9651 0.4165
0.6639 0.0349 0.0835
0.6639 0.6290 0.5835
0.7014 0.0000 0.7500
0.7014 0.7014 0.2500
0.9651 0.3361 0.5835
0.9651 0.6290 0.0835
```



# 12
PmSmS2: calculated XRD peak list (copper Kα), based on a DFT-relaxed cell (GGA-PBE, Alexandria).
Peak positions follow from Bragg's law for the DFT cell and can differ from measured ones.

Peak list (10 most intense, 10° ≤ 2θ ≤ 80°, in order of falling intensity)
Position (°2θ)  I/Imax
34.0  100
26.4  71
46.0  50
40.2  39
27.5  35
31.3  32
25.7  30
53.5  26
72.6  22
58.4  20

Atomic structure:
```
PmSmS2
1.0
3.9435 0.0000 0.0000
-1.9718 3.4152 0.0000
0.0000 0.0000 20.8092
Pm Sm S
3 3 6
direct
0.0000 0.0000 0.0000
0.3333 0.6667 0.6667
0.6667 0.3333 0.3333
0.0000 0.0000 0.1781
0.3333 0.6667 0.8447
0.6667 0.3333 0.5114
0.0000 0.0000 0.5871
0.0000 0.0000 0.7572
0.3333 0.6667 0.2538
0.3333 0.6667 0.4239
0.6667 0.3333 0.0906
0.6667 0.3333 0.9204
```



# 13
Pm5SmS6: calculated XRD peak list (copper Kα), based on a DFT-relaxed cell (GGA-PBE, Alexandria).
Peak positions follow from Bragg's law for the DFT cell and can differ from measured ones.

Peak list (10 most intense, 10° ≤ 2θ ≤ 80°, in order of falling intensity)
Position (°2θ)  I/Imax
31.4  100
27.1  57
45.0  48
53.3  22
74.5  21
27.2  19
53.4  16
55.8  13
56.0  12
44.9  12

Atomic structure:
```
Pm5SmS6
1.0
3.4874 -6.0593 0.0000
3.4874 6.0593 0.0000
-2.3459 0.0000 6.5634
Pm Sm S
5 1 6
direct
0.0000 0.0000 0.0000
0.1668 0.8332 0.5000
0.3327 0.6673 0.0000
0.6673 0.3327 0.0000
0.8332 0.1668 0.5000
0.5000 0.5000 0.5000
0.0849 0.4170 0.2509
0.2511 0.2511 0.7495
0.4170 0.0849 0.2509
0.5830 0.9151 0.7491
0.7489 0.7489 0.2505
0.9151 0.5830 0.7491
```